For V3OF11, DFT lattice parameters and positions (GGA+U) gives the computed powder diffraction line list in this record (Cu Ka).
Lines closer than 0.1° are merged.

Top 12 peaks for 5 to 70 degrees two-theta, by intensity:
| two_theta | Rel. int. |
| --- | --- |
| 18.0 | 100.0 |
| 23.7 | 49.0 |
| 24.4 | 48.6 |
| 31.8 | 22.2 |
| 32.3 | 22.2 |
| 45.7 | 20.2 |
| 41.6 | 17.9 |
| 55.9 | 16.6 |
| 36.5 | 14.0 |
| 40.5 | 12.4 |
| 41.2 | 9.8 |
| 54.5 | 8.9 |

a = 5.199 Å, b = 5.351 Å, c = 15.029 Å
α = 79.75°, β = 89.73°, γ = 88.37°
Fractional positions:
V (0.000, 0.000, 0.000)
V (0.000, 0.000, 0.333)
V (0.000, 0.000, 0.667)
V (0.500, 0.500, 0.000)
V (0.500, 0.500, 0.333)
V (0.500, 0.500, 0.667)
O (0.232, 0.714, 0.987)
O (0.768, 0.286, 0.013)
F (0.075, 0.190, 0.118)
F (0.092, 0.143, 0.448)
F (0.092, 0.143, 0.781)
F (0.187, 0.647, 0.638)
F (0.187, 0.648, 0.305)
F (0.273, 0.188, 0.973)
F (0.310, 0.158, 0.310)
F (0.310, 0.158, 0.643)
F (0.407, 0.659, 0.448)
F (0.409, 0.663, 0.781)
F (0.426, 0.650, 0.117)
F (0.574, 0.350, 0.883)
F (0.591, 0.337, 0.219)
F (0.593, 0.341, 0.552)
F (0.690, 0.842, 0.357)
F (0.690, 0.842, 0.690)
F (0.727, 0.812, 0.027)
F (0.813, 0.352, 0.695)
F (0.813, 0.353, 0.362)
F (0.908, 0.857, 0.219)
F (0.908, 0.857, 0.552)
F (0.925, 0.810, 0.882)

---

For CsCrCuF6, DFT lattice parameters and positions (GGA+U) gives the computed powder diffraction line list in this record (Cu Ka).
Lines closer than 0.1° are merged.

Top 12 peaks for 5 to 70 degrees two-theta, by intensity:
| two_theta | Rel. int. |
| --- | --- |
| 27.9 | 100.0 |
| 28.5 | 94.7 |
| 28.2 | 89.8 |
| 49.0 | 89.0 |
| 23.9 | 85.8 |
| 44.6 | 28.5 |
| 29.7 | 26.6 |
| 29.3 | 24.9 |
| 45.1 | 21.8 |
| 68.8 | 17.4 |
| 49.9 | 16.2 |
| 58.1 | 15.9 |

a = 7.446 Å, b = 7.446 Å, c = 7.446 Å
α = 121.19°, β = 120.14°, γ = 88.85°
Fractional positions:
Cs (0.372, 0.122, 0.250)
Cs (0.628, 0.878, 0.750)
Cr (0.000, 0.500, 0.500)
Cr (0.500, 0.500, 0.000)
Cu (0.000, 0.000, 0.500)
Cu (0.000, 0.500, 0.000)
F (0.067, 0.817, 0.250)
F (0.073, 0.430, 0.260)
F (0.073, 0.813, 0.643)
F (0.312, 0.562, 0.750)
F (0.330, 0.187, 0.760)
F (0.330, 0.570, 0.143)
F (0.670, 0.430, 0.857)
F (0.670, 0.813, 0.240)
F (0.688, 0.438, 0.250)
F (0.927, 0.187, 0.357)
F (0.927, 0.570, 0.740)
F (0.933, 0.183, 0.750)

---

For Li12MnV3P4C4O28, DFT lattice parameters and positions (GGA+U) gives the computed powder diffraction line list in this record (Cu Ka).
Lines closer than 0.1° are merged.

Top 12 peaks for 5 to 70 degrees two-theta, by intensity:
| two_theta | Rel. int. |
| --- | --- |
| 26.9 | 100.0 |
| 10.4 | 72.0 |
| 21.4 | 42.4 |
| 19.9 | 32.3 |
| 26.4 | 30.3 |
| 25.4 | 25.4 |
| 36.7 | 25.1 |
| 40.4 | 18.4 |
| 36.0 | 17.2 |
| 42.7 | 16.7 |
| 55.5 | 14.7 |
| 17.0 | 14.7 |

a = 8.503 Å, b = 6.625 Å, c = 10.014 Å
α = 90.00°, β = 94.99°, γ = 90.00°
Fractional positions:
Li (0.000, 0.000, 0.000)
Li (0.000, 0.000, 0.500)
Li (0.182, 0.223, 0.259)
Li (0.182, 0.777, 0.259)
Li (0.183, 0.225, 0.759)
Li (0.183, 0.775, 0.759)
Li (0.627, 0.276, 0.507)
Li (0.627, 0.724, 0.507)
Li (0.629, 0.277, 0.006)
Li (0.629, 0.723, 0.006)
Li (0.808, 0.500, 0.764)
Li (0.812, 0.500, 0.264)
Mn (0.245, 0.500, 0.993)
V (0.235, 0.500, 0.486)
V (0.575, 0.000, 0.279)
V (0.575, 0.000, 0.779)
P (0.316, 0.000, 0.022)
P (0.316, 0.000, 0.523)
P (0.493, 0.500, 0.741)
P (0.497, 0.500, 0.244)
C (0.870, 0.000, 0.232)
C (0.870, 0.000, 0.732)
C (0.938, 0.500, 0.032)
C (0.941, 0.500, 0.533)
O (0.016, 0.000, 0.205)
O (0.016, 0.000, 0.705)
O (0.051, 0.500, 0.129)
O (0.054, 0.500, 0.629)
O (0.214, 0.182, 0.470)
O (0.214, 0.183, 0.970)
O (0.214, 0.817, 0.970)
O (0.214, 0.818, 0.470)
O (0.326, 0.500, 0.791)
O (0.327, 0.500, 0.291)
O (0.336, 0.000, 0.179)
O (0.336, 0.000, 0.679)
O (0.475, 0.500, 0.585)
O (0.481, 0.500, 0.088)
O (0.483, 0.000, 0.472)
O (0.483, 0.000, 0.972)
O (0.595, 0.318, 0.795)
O (0.595, 0.682, 0.795)
O (0.597, 0.317, 0.298)
O (0.597, 0.683, 0.298)
O (0.757, 0.000, 0.135)
O (0.757, 0.000, 0.635)
O (0.792, 0.500, 0.061)
O (0.795, 0.500, 0.560)
O (0.830, 0.000, 0.355)
O (0.830, 0.000, 0.855)
O (0.974, 0.500, 0.909)
O (0.981, 0.500, 0.410)

---

For SrCoF5, DFT lattice parameters and positions (GGA+U) gives the computed powder diffraction line list in this record (Cu Ka).
Lines closer than 0.1° are merged.

Top 12 peaks for 5 to 70 degrees two-theta, by intensity:
| two_theta | Rel. int. |
| --- | --- |
| 24.9 | 100.0 |
| 23.9 | 91.0 |
| 29.8 | 73.6 |
| 45.8 | 53.3 |
| 48.0 | 40.8 |
| 30.3 | 40.1 |
| 44.7 | 34.9 |
| 48.4 | 33.4 |
| 31.4 | 31.7 |
| 32.4 | 29.7 |
| 41.4 | 28.7 |
| 26.9 | 25.8 |

a = 7.061 Å, b = 7.356 Å, c = 14.923 Å
α = 90.00°, β = 94.53°, γ = 90.00°
Fractional positions:
Sr (0.003, 0.155, 0.135)
Sr (0.003, 0.345, 0.635)
Sr (0.310, 0.158, 0.414)
Sr (0.310, 0.342, 0.914)
Sr (0.690, 0.658, 0.086)
Sr (0.690, 0.842, 0.586)
Sr (0.997, 0.655, 0.365)
Sr (0.997, 0.845, 0.865)
Co (0.191, 0.684, 0.126)
Co (0.191, 0.816, 0.626)
Co (0.494, 0.622, 0.337)
Co (0.494, 0.878, 0.837)
Co (0.506, 0.122, 0.163)
Co (0.506, 0.378, 0.663)
Co (0.809, 0.184, 0.374)
Co (0.809, 0.316, 0.874)
F (0.003, 0.009, 0.610)
F (0.003, 0.491, 0.110)
F (0.033, 0.696, 0.707)
F (0.033, 0.804, 0.207)
F (0.043, 0.680, 0.534)
F (0.043, 0.820, 0.034)
F (0.305, 0.501, 0.402)
F (0.305, 0.999, 0.902)
F (0.315, 0.553, 0.228)
F (0.315, 0.947, 0.728)
F (0.316, 0.161, 0.241)
F (0.316, 0.339, 0.741)
F (0.320, 0.196, 0.068)
F (0.320, 0.304, 0.568)
F (0.343, 0.670, 0.851)
F (0.343, 0.830, 0.351)
F (0.344, 0.583, 0.041)
F (0.344, 0.917, 0.541)
F (0.394, 0.634, 0.647)
F (0.394, 0.866, 0.147)
F (0.606, 0.134, 0.853)
F (0.606, 0.366, 0.353)
F (0.656, 0.083, 0.459)
F (0.656, 0.417, 0.959)
F (0.657, 0.170, 0.649)
F (0.657, 0.330, 0.149)
F (0.680, 0.696, 0.432)
F (0.680, 0.804, 0.932)
F (0.684, 0.661, 0.259)
F (0.684, 0.839, 0.759)
F (0.685, 0.053, 0.272)
F (0.685, 0.447, 0.772)
F (0.695, 0.001, 0.098)
F (0.695, 0.499, 0.598)
F (0.957, 0.180, 0.966)
F (0.957, 0.320, 0.466)
F (0.967, 0.196, 0.793)
F (0.967, 0.304, 0.293)
F (0.997, 0.509, 0.890)
F (0.997, 0.991, 0.390)

---

For V5O12, DFT lattice parameters and positions (GGA+U) gives the computed powder diffraction line list in this record (Cu Ka).
Lines closer than 0.1° are merged.

Top 12 peaks for 5 to 70 degrees two-theta, by intensity:
| two_theta | Rel. int. |
| --- | --- |
| 21.1 | 100.0 |
| 29.2 | 46.5 |
| 46.6 | 39.7 |
| 40.2 | 28.5 |
| 23.6 | 18.4 |
| 53.4 | 11.9 |
| 61.0 | 11.0 |
| 22.5 | 10.4 |
| 48.2 | 9.9 |
| 19.5 | 9.4 |
| 59.8 | 8.9 |
| 65.3 | 8.6 |

a = 4.979 Å, b = 4.979 Å, c = 9.062 Å
α = 92.91°, β = 92.91°, γ = 113.21°
Fractional positions:
V (0.000, 0.000, 0.000)
V (0.438, 0.116, 0.220)
V (0.452, 0.548, 0.500)
V (0.831, 0.169, 0.500)
V (0.884, 0.562, 0.780)
O (0.086, 0.807, 0.143)
O (0.152, 0.519, 0.613)
O (0.158, 0.212, 0.395)
O (0.193, 0.914, 0.857)
O (0.316, 0.323, 0.102)
O (0.481, 0.848, 0.387)
O (0.599, 0.314, 0.632)
O (0.677, 0.684, 0.898)
O (0.686, 0.401, 0.368)
O (0.692, 0.061, 0.121)
O (0.788, 0.842, 0.605)
O (0.939, 0.308, 0.879)

---

For VSbP2O8, DFT lattice parameters and positions (GGA+U) gives the computed powder diffraction line list in this record (Cu Ka).
Lines closer than 0.1° are merged.

Top 12 peaks for 5 to 70 degrees two-theta, by intensity:
| two_theta | Rel. int. |
| --- | --- |
| 16.3 | 100.0 |
| 32.2 | 65.1 |
| 30.1 | 63.1 |
| 23.8 | 57.7 |
| 25.4 | 55.0 |
| 18.5 | 53.6 |
| 35.7 | 38.3 |
| 25.6 | 35.5 |
| 47.4 | 28.2 |
| 35.6 | 25.0 |
| 20.4 | 23.1 |
| 52.7 | 21.9 |

a = 5.066 Å, b = 5.940 Å, c = 10.998 Å
α = 90.00°, β = 97.43°, γ = 90.00°
Fractional positions:
V (0.066, 0.250, 0.298)
V (0.934, 0.750, 0.702)
Sb (0.468, 0.250, 0.772)
Sb (0.532, 0.750, 0.228)
P (0.102, 0.750, 0.424)
P (0.407, 0.750, 0.878)
P (0.593, 0.250, 0.122)
P (0.898, 0.250, 0.576)
O (0.165, 0.750, 0.562)
O (0.204, 0.250, 0.613)
O (0.228, 0.542, 0.363)
O (0.228, 0.958, 0.363)
O (0.230, 0.549, 0.813)
O (0.230, 0.951, 0.813)
O (0.320, 0.250, 0.167)
O (0.412, 0.750, 0.015)
O (0.588, 0.250, 0.985)
O (0.680, 0.750, 0.833)
O (0.770, 0.049, 0.187)
O (0.770, 0.451, 0.187)
O (0.772, 0.042, 0.637)
O (0.772, 0.458, 0.637)
O (0.796, 0.750, 0.387)
O (0.835, 0.250, 0.438)